1.
Simulated PXRD pattern of Pa2BiPdO8 for Cu Kα X-rays, from a PBE-relaxed structure.
Peak positions follow from Bragg's law for the DFT cell and can differ from measured ones.

Cell and atoms:
Unit cell a=5.8039 b=5.8039 c=5.9369 alpha=90.00 beta=90.00 gamma=120.00
Space group P-3 (No. 147)
Symmetry-distinct sites (fractional):
1 Pa 0.3333 0.6667 0.3794 (multiplicity 2)
2 Bi 0.0000 0.0000 0.0000 (multiplicity 1)
3 Pd 0.0000 0.0000 0.5000 (multiplicity 1)
4 O 0.0621 0.3371 0.6796 (multiplicity 6)
5 O 0.3333 0.6667 0.0620 (multiplicity 2)

Largest 8 diffraction maxima, sorted by position, 10 to 90 degrees two-theta:
| index | 2θ/deg | Rel. int. |
| --- | --- | --- |
| 0 1 1 | 23.2 | 89 |
| 1 1 0 | 30.8 | 100 |
| 1 0 2 | 35.1 | 52 |
| 2 0 1 | 38.9 | 32 |
| 0 2 2 | 47.4 | 28 |
| 1 2 1 | 50.4 | 26 |
| 3 0 0 | 54.8 | 25 |
| 2 1 2 | 57.6 | 28 |

=====

2.
Simulated PXRD pattern of PmPa2BiO8 for Cu Kα X-rays, from a PBE-relaxed structure.
Peak positions follow from Bragg's law for the DFT cell and can differ from measured ones.

Cell and atoms:
Unit cell a=3.857 b=5.548 c=7.719 alpha=90.00 beta=90.00 gamma=90.00
Space group Pmmm (No. 47)
Symmetry-distinct sites (fractional):
1 Pm 0.000 0.000 0.000 (multiplicity 1)
2 Pa 0.500 0.500 0.249 (multiplicity 2)
3 Bi 0.000 0.000 0.500 (multiplicity 1)
4 O 0.000 0.268 0.248 (multiplicity 4)
5 O 0.500 0.267 0.000 (multiplicity 2)
6 O 0.500 0.270 0.500 (multiplicity 2)

Largest 8 diffraction maxima, sorted by position, 10 to 90 degrees two-theta:
| index | 2θ/deg | Rel. int. |
| --- | --- | --- |
| 1 1 0 | 28.2 | 100 |
| 0 2 0 | 32.3 | 12 |
| 1 0 2 | 32.8 | 23 |
| 1 2 2 | 46.7 | 34 |
| 2 0 0 | 47.1 | 17 |
| 1 3 0 | 55.1 | 16 |
| 2 1 2 | 55.8 | 31 |
| 2 3 2 | 75.3 | 13 |

=====

3.
Simulated PXRD pattern of PrPa2BiO8 for Cu Kα X-rays, from a PBE-relaxed structure.
Peak positions follow from Bragg's law for the DFT cell and can differ from measured ones.

Cell and atoms:
Unit cell a=3.869 b=5.589 c=7.735 alpha=90.00 beta=90.00 gamma=90.00
Space group Pmmm (No. 47)
Symmetry-distinct sites (fractional):
1 Pr 0.000 0.000 0.000 (multiplicity 1)
2 Pa 0.500 0.500 0.250 (multiplicity 2)
3 Bi 0.000 0.000 0.500 (multiplicity 1)
4 O 0.000 0.270 0.251 (multiplicity 4)
5 O 0.500 0.270 0.500 (multiplicity 2)
6 O 0.500 0.271 0.000 (multiplicity 2)

Largest 8 diffraction maxima, sorted by position, 10 to 90 degrees two-theta:
| index | 2θ/deg | Rel. int. |
| --- | --- | --- |
| 1 1 0 | 28.1 | 100 |
| 0 2 0 | 32.0 | 12 |
| 1 0 2 | 32.7 | 23 |
| 1 2 2 | 46.5 | 34 |
| 2 0 0 | 47.0 | 17 |
| 1 3 0 | 54.7 | 16 |
| 2 1 2 | 55.6 | 31 |
| 2 3 2 | 74.9 | 13 |